1.
The following is a simulated powder XRD pattern of MgCrGeIr. It was derived from a PBE-relaxed structure, using copper Kα.
Intensities are scaled so that the largest is 100.

Principal peaks in the range 2θ = 10–80°, in order of falling intensity:
- 2θ = 41.3°, I = 100.0
- 2θ = 24.9°, I = 42.8
- 2θ = 75.2°, I = 33.0
- 2θ = 48.8°, I = 22.7
- 2θ = 28.9°, I = 22.2
- 2θ = 59.8°, I = 16.4

Crystal structure
a = 4.3765 Å, b = 4.3765 Å, c = 4.3765 Å
α = 60.00°, β = 60.00°, γ = 60.00°
Fractional coordinates of all 4 atoms:
Mg 0.0000 0.0000 0.0000
Cr 0.7500 0.7500 0.7500
Ge 0.5000 0.5000 0.5000
Ir 0.2500 0.2500 0.2500

2.
The following is a simulated powder XRD pattern of Pa2CrGe3Ir4. It was derived from a PBE-relaxed structure, using copper Kα.
Intensities are scaled so that the largest is 100.

Principal peaks in the range 2θ = 10–80°, in order of falling intensity:
- 2θ = 35.3°, I = 100.0
- 2θ = 33.8°, I = 66.5
- 2θ = 43.9°, I = 60.0
- 2θ = 49.1°, I = 31.6
- 2θ = 56.6°, I = 31.3
- 2θ = 68.0°, I = 24.2

Crystal structure
a = 4.1218 Å, b = 4.1218 Å, c = 10.3873 Å
α = 90.00°, β = 90.00°, γ = 90.00°
Fractional coordinates of all 10 atoms:
Pa 0.0000 0.5000 0.2467
Pa 0.5000 0.0000 0.7533
Cr 0.0000 0.0000 0.5000
Ge 0.0000 0.5000 0.8643
Ge 0.5000 0.0000 0.1357
Ge 0.5000 0.5000 0.5000
Ir 0.0000 0.0000 0.0000
Ir 0.0000 0.5000 0.6304
Ir 0.5000 0.0000 0.3696
Ir 0.5000 0.5000 0.0000

3.
The following is a simulated powder XRD pattern of LaCr3Ge. It was derived from a PBE-relaxed structure, using copper Kα.
Intensities are scaled so that the largest is 100.

Principal peaks in the range 2θ = 10–80°, in order of falling intensity:
- 2θ = 38.1°, I = 100.0
- 2θ = 26.7°, I = 91.5
- 2θ = 32.9°, I = 72.3
- 2θ = 55.0°, I = 65.3
- 2θ = 47.2°, I = 40.1
- 2θ = 65.6°, I = 25.4

Crystal structure
a = 4.7194 Å, b = 4.7194 Å, c = 4.7194 Å
α = 90.00°, β = 90.00°, γ = 90.00°
Fractional coordinates of all 5 atoms:
La 0.0000 0.0000 0.0000
Cr 0.0000 0.5000 0.5000
Cr 0.5000 0.0000 0.5000
Cr 0.5000 0.5000 0.0000
Ge 0.5000 0.5000 0.5000